No. 1
Diffraction record for Li2VOF3. The PXRD pattern is simulated, not measured: it uses a PBE+U-relaxed structure and Cu Kα, 1.54184 Å.
No peak broadening, texture or thermal motion is included.

Cell and atoms:
```
Li2VOF3
1.0
5.146 -3.038 0.000
5.146 3.038 0.000
-3.378 0.000 4.925
Li V O F
4 2 2 6
direct
0.000 0.000 0.000
0.000 0.000 0.500
0.374 0.374 0.595
0.626 0.626 0.405
0.000 0.500 0.000
0.500 0.000 0.000
0.245 0.245 0.199
0.755 0.755 0.801
0.225 0.750 0.243
0.246 0.246 0.751
0.250 0.775 0.757
0.750 0.225 0.243
0.754 0.754 0.249
0.775 0.250 0.757
```

Main lines, in order of rising 2θ (10 to 80 degrees two-theta):
Position (°2θ)	intensity
18.0	92
18.3	100
20.9	40
29.9	27
34.7	29
34.9	45
42.5	90
42.6	45
61.3	28
62.2	39

No. 2
Diffraction record for Mn2InC10BrO10. The PXRD pattern is simulated, not measured: it uses a PBE+U-relaxed structure and Cu Kα, 1.54184 Å.
No peak broadening, texture or thermal motion is included.

Cell and atoms:
```
Mn2InC10BrO10
1.0
8.912 0.000 0.000
-0.592 9.910 0.000
-0.397 -4.743 9.372
Mn In C Br O
4 2 20 2 20
direct
0.241 0.241 0.406
0.247 0.718 0.070
0.753 0.282 0.930
0.759 0.759 0.594
0.156 0.000 0.153
0.844 0.000 0.847
0.039 0.281 0.426
0.089 0.705 0.174
0.117 0.672 0.913
0.206 0.102 0.478
0.268 0.355 0.308
0.299 0.524 0.999
0.307 0.397 0.577
0.375 0.785 0.234
0.394 0.786 0.987
0.434 0.180 0.365
0.566 0.820 0.635
0.606 0.214 0.013
0.625 0.215 0.766
0.693 0.603 0.423
0.701 0.476 0.001
0.732 0.645 0.692
0.794 0.898 0.522
0.883 0.328 0.087
0.911 0.295 0.826
0.961 0.719 0.574
0.155 0.046 0.911
0.845 0.954 0.089
0.008 0.303 0.758
0.038 0.637 0.811
0.085 0.691 0.555
0.185 0.017 0.524
0.288 0.434 0.254
0.334 0.401 0.950
0.354 0.499 0.684
0.444 0.857 0.657
0.457 0.823 0.335
0.486 0.826 0.933
0.514 0.174 0.067
0.543 0.177 0.665
0.556 0.143 0.343
0.646 0.501 0.316
0.666 0.599 0.050
0.712 0.566 0.746
0.815 0.983 0.476
0.915 0.309 0.445
0.962 0.363 0.189
0.992 0.697 0.242
```

Main lines, in order of rising 2θ (10 to 80 degrees two-theta):
Position (°2θ)	intensity
10.0	88
10.2	35
13.2	71
14.2	28
14.4	100
20.0	38
30.9	51
31.0	74
31.1	42
40.3	26

No. 3
Diffraction record for Na3W4O6. The PXRD pattern is simulated, not measured: it uses a PBE+U-relaxed structure and Cu Kα, 1.54184 Å.
No peak broadening, texture or thermal motion is included.

Cell and atoms:
```
Na3W4O6
1.0
-3.684 3.939 3.884
3.684 -3.939 3.884
3.684 3.939 -3.884
Na W O
3 4 6
direct
0.000 0.000 0.000
0.434 0.434 0.000
0.921 0.421 0.500
0.462 0.491 0.529
0.462 0.933 0.971
0.962 0.491 0.029
0.962 0.933 0.471
0.193 0.480 0.287
0.193 0.906 0.713
0.471 0.233 0.238
0.729 0.517 0.788
0.729 0.941 0.212
0.995 0.233 0.762
```

Main lines, in order of rising 2θ (10 to 80 degrees two-theta):
Position (°2θ)	intensity
22.6	66
22.9	100
24.2	60
32.4	82
33.3	58
33.5	78
40.8	43
46.1	21
58.2	32
58.6	23

No. 4
Diffraction record for Li6Cr5O12. The PXRD pattern is simulated, not measured: it uses a PBE+U-relaxed structure and Cu Kα, 1.54184 Å.
No peak broadening, texture or thermal motion is included.

Cell and atoms:
```
Li6Cr5O12
1.0
5.115 0.000 0.000
0.000 8.796 0.000
-1.645 0.000 9.700
Li Cr O
12 10 24
direct
0.000 0.000 0.241
0.000 0.500 0.759
0.002 0.170 0.755
0.006 0.348 0.243
0.255 0.340 0.009
0.497 0.182 0.240
0.499 0.324 0.758
0.501 0.824 0.242
0.503 0.682 0.760
0.745 0.840 0.991
0.994 0.848 0.757
0.998 0.670 0.245
0.238 0.663 0.005
0.250 0.169 0.503
0.251 0.838 0.504
0.255 0.503 0.499
0.263 0.010 0.996
0.737 0.510 0.004
0.745 0.003 0.501
0.749 0.338 0.496
0.750 0.669 0.497
0.762 0.163 0.995
0.096 0.520 0.112
0.107 0.004 0.608
0.112 0.156 0.110
0.118 0.669 0.610
0.120 0.337 0.614
0.148 0.834 0.115
0.342 0.833 0.893
0.378 0.332 0.392
0.379 0.003 0.392
0.380 0.674 0.395
0.390 0.518 0.890
0.391 0.158 0.891
0.609 0.658 0.109
0.610 0.018 0.110
0.620 0.174 0.605
0.621 0.503 0.608
0.622 0.832 0.608
0.658 0.333 0.107
0.852 0.334 0.885
0.880 0.837 0.386
0.882 0.169 0.390
0.888 0.656 0.890
0.893 0.504 0.392
0.904 0.020 0.888
```

Main lines, in order of rising 2θ (10 to 80 degrees two-theta):
Position (°2θ)	intensity
18.3	100
35.6	12
35.9	23
43.1	27
43.5	52
47.4	9
57.3	9
62.7	13
63.1	14
63.5	7

No. 5
Diffraction record for Li3Co2Si2O8. The PXRD pattern is simulated, not measured: it uses a PBE+U-relaxed structure and Cu Kα, 1.54184 Å.
No peak broadening, texture or thermal motion is included.

Cell and atoms:
```
Li3Co2Si2O8
1.0
5.035 0.000 0.000
0.000 11.028 0.000
-0.013 0.000 6.118
Li Co Si O
6 4 4 16
direct
0.065 0.000 0.250
0.082 0.008 0.749
0.431 0.171 0.257
0.569 0.671 0.743
0.918 0.508 0.251
0.935 0.500 0.750
0.078 0.753 0.493
0.425 0.414 0.000
0.575 0.914 0.000
0.922 0.253 0.507
0.077 0.750 0.997
0.419 0.416 0.496
0.581 0.916 0.504
0.923 0.250 0.003
0.000 0.175 0.783
0.000 0.675 0.217
0.031 0.177 0.222
0.044 0.392 0.999
0.092 0.418 0.500
0.404 0.764 0.979
0.462 0.778 0.509
0.474 0.989 0.278
0.476 0.985 0.731
0.524 0.485 0.269
0.526 0.489 0.722
0.538 0.278 0.491
0.596 0.264 0.021
0.908 0.918 0.500
0.956 0.892 0.001
0.969 0.677 0.778
```

Main lines, in order of rising 2θ (10 to 80 degrees two-theta):
Position (°2θ)	intensity
16.1	74
23.9	100
29.2	41
30.1	32
32.5	23
33.5	57
35.7	47
42.4	24
48.0	19
58.6	29

No. 6
Diffraction record for KMg3V3CuO12. The PXRD pattern is simulated, not measured: it uses a PBE+U-relaxed structure and Cu Kα, 1.54184 Å.
No peak broadening, texture or thermal motion is included.

Cell and atoms:
```
KMg3V3CuO12
1.0
6.158 -6.438 0.000
6.158 6.438 0.000
-2.569 0.000 6.471
K Mg V Cu O
2 6 6 2 24
direct
0.015 0.985 0.750
0.985 0.015 0.250
0.053 0.376 0.625
0.259 0.741 0.250
0.376 0.053 0.125
0.624 0.947 0.875
0.741 0.259 0.750
0.947 0.624 0.375
0.119 0.352 0.122
0.288 0.712 0.750
0.352 0.119 0.622
0.648 0.881 0.378
0.712 0.288 0.250
0.881 0.648 0.878
0.497 0.503 0.750
0.503 0.497 0.250
0.013 0.669 0.122
0.028 0.401 0.322
0.173 0.184 0.613
0.179 0.748 0.522
0.184 0.173 0.113
0.252 0.821 0.978
0.273 0.511 0.732
0.279 0.496 0.177
0.331 0.987 0.378
0.401 0.028 0.822
0.489 0.727 0.768
0.496 0.279 0.677
0.504 0.721 0.323
0.511 0.273 0.232
0.599 0.972 0.178
0.669 0.013 0.622
0.721 0.504 0.823
0.727 0.489 0.268
0.748 0.179 0.022
0.816 0.827 0.887
0.821 0.252 0.478
0.827 0.816 0.387
0.972 0.599 0.678
0.987 0.331 0.878
```

Main lines, in order of rising 2θ (10 to 80 degrees two-theta):
Position (°2θ)	intensity
24.3	29
26.2	32
26.6	89
27.6	55
31.3	46
31.9	100
33.3	32
42.3	23
52.8	28
56.0	21